Simulated powder X-ray diffraction pattern of PrSmNCl for Cu Ka, from the PBE geometry in OQMD.
Peak positions follow from Bragg's law for the DFT cell and can differ from measured ones.

Peak list (6 most intense, 10 to 80 degrees two-theta, sorted by position)
d/Å, 2theta, intensity
7.030, 12.59, 17
3.168, 28.17, 24
3.091, 28.89, 24
2.625, 34.16, 100
1.829, 49.86, 25
1.501, 61.82, 18

Structure:
```
data_PrSmNCl
_cell_length_a 3.6582
_cell_length_b 3.6582
_cell_length_c 14.0595
_cell_angle_alpha 90.00
_cell_angle_beta 90.00
_cell_angle_gamma 120.00
_symmetry_space_group_name_H-M 'P 1'
_symmetry_Int_Tables_number 1
loop_
_symmetry_equiv_pos_as_xyz
'x,y,z'
loop_
_atom_site_label
_atom_site_fract_x
_atom_site_fract_y
_atom_site_fract_z
Pr1 0.3333 0.6667 0.4027
Pr2 0.6667 0.3333 0.5973
Sm1 0.3333 0.6667 0.0917
Sm2 0.6667 0.3333 0.9083
N1 0.0000 0.0000 0.0000
N2 0.0000 0.0000 0.5000
Cl1 0.3333 0.6667 0.7583
Cl2 0.6667 0.3333 0.2417
```